# 1
This entry pairs a crystal structure of CsDyBeS3 with its simulated X-ray powder pattern. Radiation: Cu Ka. Structure: a crystal structure in Alexandria, relaxed with PBE.
No peak broadening, texture or thermal motion is included.

Main lines, low angle first (2θ = 10–90°):
| two_theta | I_rel | index |
| --- | --- | --- |
| 10.1 | 510 | 1 0 0 |
| 11.1 | 313 | 1 0 -1 |
| 20.2 | 619 | 0 0 2 |
| 22.4 | 423 | 2 0 -2 |
| 24.9 | 513 | 1 1 0 |
| 29.6 | 1000 | 1 1 -2 |
| 30.5 | 595 | 3 0 0 |
| 37.5 | 275 | 3 1 -2 |

Crystal structure
abc: 9.524 3.906 9.569
angles: 90.00 112.62 90.00
Space group P2_1/m (No. 11)
Symmetry-distinct sites (fractional):
1 Cs 0.243 0.250 0.212
2 Dy 0.147 0.250 0.668
3 Be 0.394 0.750 0.925
4 S 0.160 0.750 0.475
5 S 0.163 0.750 0.874
6 S 0.463 0.250 0.843

---

# 2
This entry pairs a crystal structure of VIrRu2 with its simulated X-ray powder pattern. Radiation: Cu Ka. Structure: a crystal structure in Alexandria, relaxed with PBE.
No peak broadening, texture or thermal motion is included.

Main lines, low angle first (2θ = 10–90°):
| two_theta | I_rel | index |
| --- | --- | --- |
| 23.3 | 133 | 0 2 0 |
| 40.9 | 1000 | 2 2 0 |
| 47.5 | 162 | 0 4 0 |
| 47.7 | 320 | 2 0 2 |
| 69.6 | 253 | 2 4 2 |
| 83.9 | 123 | 2 6 0 |
| 84.1 | 122 | 2 2 4 |
| 84.2 | 122 | 4 2 2 |

Crystal structure
abc: 5.388 7.658 5.398
angles: 90.00 90.00 90.00
Space group Imma (No. 74)
Symmetry-distinct sites (fractional):
1 V 0.000 0.000 0.000
2 Ir 0.250 0.250 0.250
3 Ru 0.000 0.000 0.500
4 Ru 0.250 0.250 0.750